1.
Diffraction record for Th5Tc2Pd2. The X-ray powder pattern is calculated, not measured: it uses the PBE geometry in Alexandria and Cu Kα X-rays.

Structural model:
```
data_Th5Tc2Pd2
_chemical_formula_sum 'Th20 Tc8 Pd8'
_symmetry_space_group_name_H-M 'C m c e'
_symmetry_Int_Tables_number 64
_symmetry_space_group_name_Hall '-C 2ac 2'
_cell_length_a 14.9288
_cell_length_b 7.8085
_cell_length_c 7.7406
_cell_angle_alpha 90.00
_cell_angle_beta 90.00
_cell_angle_gamma 90.00
loop_
_atom_site_label
_atom_site_fract_x
_atom_site_fract_y
_atom_site_fract_z
Th1 0.0000 0.0000 0.0000
Th2 0.1306 0.1720 0.3338
Tc1 0.0000 0.1384 0.6390
Pd1 0.2138 0.0000 0.0000
```

Largest 10 diffraction maxima, by intensity, 2θ = 10–90°:
2.845 Å, rel. 100; 2.548 Å, rel. 98; 2.434 Å, rel. 66; 2.418 Å, rel. 62; 2.698 Å, rel. 61; 2.687 Å, rel. 53; 2.749 Å, rel. 47; 3.486 Å, rel. 42; 2.624 Å, rel. 36; 1.865 Å, rel. 36

***

2.
Diffraction record for Ti6Tc5Pd. The X-ray powder pattern is calculated, not measured: it uses the PBE geometry in Alexandria and Cu Kα X-rays.

Structural model:
```
data_Ti6Tc5Pd
_chemical_formula_sum 'Ti12 Tc10 Pd2'
_symmetry_space_group_name_H-M 'I m m m'
_symmetry_Int_Tables_number 71
_symmetry_space_group_name_Hall '-I 2 2'
_cell_length_a 4.3969
_cell_length_b 6.2156
_cell_length_c 13.2027
_cell_angle_alpha 90.00
_cell_angle_beta 90.00
_cell_angle_gamma 90.00
loop_
_atom_site_label
_atom_site_fract_x
_atom_site_fract_y
_atom_site_fract_z
Ti1 0.0000 0.2406 0.0000
Ti2 0.0000 0.2547 0.3299
Tc1 0.0000 0.0000 0.1671
Tc2 0.0000 0.5000 0.1642
Tc3 0.0000 0.5000 0.5000
Pd1 0.0000 0.0000 0.5000
```

Largest 8 diffraction maxima, by intensity, 2θ = 10–90°:
2.199 Å, rel. 100; 1.269 Å, rel. 31; 3.110 Å, rel. 18; 1.555 Å, rel. 16; 1.099 Å, rel. 8; 1.391 Å, rel. 7; 1.795 Å, rel. 5; 1.099 Å, rel. 2

***

3.
Diffraction record for Tm6TcPd. The X-ray powder pattern is calculated, not measured: it uses the PBE geometry in Alexandria and Cu Kα X-rays.

Structural model:
```
data_Tm6TcPd
_chemical_formula_sum 'Tm6 Tc1 Pd1'
_symmetry_space_group_name_H-M 'P -3 1 m'
_symmetry_Int_Tables_number 162
_symmetry_space_group_name_Hall '-P 3 2'
_cell_length_a 6.3617
_cell_length_b 6.3617
_cell_length_c 5.9828
_cell_angle_alpha 90.00
_cell_angle_beta 90.00
_cell_angle_gamma 120.00
loop_
_atom_site_label
_atom_site_fract_x
_atom_site_fract_y
_atom_site_fract_z
Tm1 0.0000 0.3666 0.2444
Tc1 0.0000 0.0000 0.0000
Pd1 0.0000 0.0000 0.5000
```

Largest 10 diffraction maxima, by intensity, 2θ = 10–90°:
2.809 Å, rel. 100; 2.179 Å, rel. 34; 1.836 Å, rel. 25; 1.690 Å, rel. 22; 2.991 Å, rel. 18; 2.755 Å, rel. 15; 1.537 Å, rel. 13; 2.629 Å, rel. 13; 1.565 Å, rel. 11; 1.160 Å, rel. 11

***

4.
Diffraction record for Zr6TcPd3. The X-ray powder pattern is calculated, not measured: it uses the PBE geometry in Alexandria and Cu Kα X-rays.

Structural model:
```
data_Zr6TcPd3
_chemical_formula_sum 'Zr12 Tc2 Pd6'
_symmetry_space_group_name_H-M 'P 1 21/c 1'
_symmetry_Int_Tables_number 14
_cell_length_a 5.4514
_cell_length_b 8.1237
_cell_length_c 10.8142
_cell_angle_alpha 90.00
_cell_angle_beta 119.87
_cell_angle_gamma 90.00
loop_
_symmetry_equiv_pos_as_xyz
'x,y,z'
'-x,-y,-z'
'-x,y+1/2,-z+1/2'
'x,-y+1/2,z+1/2'
loop_
_atom_site_label
_atom_site_fract_x
_atom_site_fract_y
_atom_site_fract_z
Zr1 0.0261 0.1805 0.4462
Zr2 0.3642 0.6708 0.4509
Zr3 0.3996 0.0543 0.2435
Tc1 0.0000 0.0000 0.0000
Pd1 0.0862 0.0996 0.7479
Pd2 0.5000 0.0000 0.5000
```

Largest 10 diffraction maxima, by intensity, 2θ = 10–90°:
2.346 Å, rel. 100; 2.425 Å, rel. 85; 2.581 Å, rel. 47; 2.670 Å, rel. 46; 2.680 Å, rel. 45; 2.495 Å, rel. 35; 2.487 Å, rel. 31; 2.565 Å, rel. 29; 2.364 Å, rel. 28; 2.477 Å, rel. 27

***

5.
Diffraction record for ZrTcPd. The X-ray powder pattern is calculated, not measured: it uses the PBE geometry in Alexandria and Cu Kα X-rays.

Structural model:
```
data_ZrTcPd
_chemical_formula_sum 'Zr4 Tc4 Pd4'
_symmetry_space_group_name_H-M 'C 1 2 1'
_symmetry_Int_Tables_number 5
_cell_length_a 8.3021
_cell_length_b 5.1633
_cell_length_c 5.7084
_cell_angle_alpha 90.00
_cell_angle_beta 123.00
_cell_angle_gamma 90.00
loop_
_symmetry_equiv_pos_as_xyz
'x,y,z'
'-x,y,-z'
'x+1/2,y+1/2,z'
'-x+1/2,y+1/2,-z'
loop_
_atom_site_label
_atom_site_fract_x
_atom_site_fract_y
_atom_site_fract_z
Zr1 0.0000 0.0000 0.0000
Zr2 0.0000 0.2530 0.5000
Tc1 0.1745 0.5187 0.0113
Pd1 0.1702 0.7259 0.5139
```

Largest 10 diffraction maxima, by intensity, 2θ = 10–90°:
2.272 Å, rel. 100; 2.394 Å, rel. 61; 2.227 Å, rel. 58; 2.434 Å, rel. 53; 2.117 Å, rel. 50; 1.763 Å, rel. 19; 1.460 Å, rel. 18; 1.197 Å, rel. 18; 1.357 Å, rel. 18; 1.656 Å, rel. 15

***

6.
Diffraction record for Te5Pd. The X-ray powder pattern is calculated, not measured: it uses the PBE geometry in Alexandria and Cu Kα X-rays.

Structural model:
```
data_Te5Pd
_chemical_formula_sum 'Te5 Pd1'
_symmetry_space_group_name_H-M 'P 1 2/m 1'
_symmetry_Int_Tables_number 10
_cell_length_a 5.2417
_cell_length_b 4.1604
_cell_length_c 8.1388
_cell_angle_alpha 90.00
_cell_angle_beta 90.25
_cell_angle_gamma 90.00
loop_
_symmetry_equiv_pos_as_xyz
'x,y,z'
'-x,-y,-z'
'-x,y,-z'
'x,-y,z'
loop_
_atom_site_label
_atom_site_fract_x
_atom_site_fract_y
_atom_site_fract_z
Te1 0.0000 0.0000 0.0000
Te2 0.2719 0.5000 0.7847
Te3 0.3003 0.0000 0.3781
Pd1 0.0000 0.5000 0.5000
```

Largest 10 diffraction maxima, by intensity, 2θ = 10–90°:
3.028 Å, rel. 100; 3.208 Å, rel. 42; 2.138 Å, rel. 32; 2.272 Å, rel. 27; 2.080 Å, rel. 20; 1.746 Å, rel. 20; 2.208 Å, rel. 16; 8.139 Å, rel. 13; 2.909 Å, rel. 11; 1.514 Å, rel. 10

***

7.
Diffraction record for Te4Pd3. The X-ray powder pattern is calculated, not measured: it uses the PBE geometry in Alexandria and Cu Kα X-rays.

Structural model:
Lattice parameters (Å, degrees): 11.3202 11.3202 11.3202 90.00 90.00 90.00
Space group Fd-3m (No. 227, origin choice 2)
Symmetry-distinct sites (fractional):
Te 0.0099 0.0099 0.2401 (multiplicity 32)
Pd 0.0000 0.0000 0.0000 (multiplicity 16)
Pd 0.1250 0.1250 0.6250 (multiplicity 8)

Largest 10 diffraction maxima, by intensity, 2θ = 10–90°:
2.001 Å, rel. 100; 2.830 Å, rel. 76; 3.413 Å, rel. 42; 2.179 Å, rel. 35; 3.268 Å, rel. 30; 1.155 Å, rel. 28; 1.266 Å, rel. 20; 1.634 Å, rel. 17; 1.415 Å, rel. 15; 4.002 Å, rel. 15

***

8.
Diffraction record for Te2Pd. The X-ray powder pattern is calculated, not measured: it uses the PBE geometry in Alexandria and Cu Kα X-rays.

Structural model:
```
data_Te2Pd
_chemical_formula_sum 'Te2 Pd1'
_symmetry_space_group_name_H-M 'P -3 m 1'
_symmetry_Int_Tables_number 164
_symmetry_space_group_name_Hall '-P 3 2"'
_cell_length_a 4.1019
_cell_length_b 4.1019
_cell_length_c 5.2015
_cell_angle_alpha 90.00
_cell_angle_beta 90.00
_cell_angle_gamma 120.00
loop_
_atom_site_label
_atom_site_fract_x
_atom_site_fract_y
_atom_site_fract_z
Te1 0.3333 0.6667 0.2367
Pd1 0.0000 0.0000 0.5000
```

Largest 10 diffraction maxima, by intensity, 2θ = 10–90°:
2.933 Å, rel. 100; 2.051 Å, rel. 38; 2.098 Å, rel. 35; 1.681 Å, rel. 19; 1.300 Å, rel. 18; 1.558 Å, rel. 12; 1.193 Å, rel. 11; 1.467 Å, rel. 11; 1.098 Å, rel. 9; 5.201 Å, rel. 9

***

9.
Diffraction record for Te3Pd. The X-ray powder pattern is calculated, not measured: it uses the PBE geometry in Alexandria and Cu Kα X-rays.

Structural model:
```
data_Te3Pd
_chemical_formula_sum 'Te3 Pd1'
_symmetry_space_group_name_H-M 'P m m m'
_symmetry_Int_Tables_number 47
_cell_length_a 4.2145
_cell_length_b 4.2408
_cell_length_c 6.0421
_cell_angle_alpha 90.00
_cell_angle_beta 90.00
_cell_angle_gamma 90.00
loop_
_symmetry_equiv_pos_as_xyz
'x,y,z'
'-x,-y,-z'
'-x,-y,z'
'x,y,-z'
'x,-y,-z'
'-x,y,z'
'-x,y,-z'
'x,-y,z'
loop_
_atom_site_label
_atom_site_fract_x
_atom_site_fract_y
_atom_site_fract_z
Te1 0.0000 0.0000 0.0000
Te2 0.0000 0.0000 0.5000
Te3 0.5000 0.5000 0.0000
Pd1 0.5000 0.5000 0.5000
```

Largest 10 diffraction maxima, by intensity, 2θ = 10–90°:
2.989 Å, rel. 100; 2.124 Å, rel. 94; 3.021 Å, rel. 51; 1.340 Å, rel. 25; 1.736 Å, rel. 20; 1.728 Å, rel. 20; 2.107 Å, rel. 18; 1.348 Å, rel. 17; 1.225 Å, rel. 12; 1.220 Å, rel. 12

***

10.
Diffraction record for Te3Pd. The X-ray powder pattern is calculated, not measured: it uses the PBE geometry in Alexandria and Cu Kα X-rays.

Structural model:
```
data_Te3Pd
_chemical_formula_sum 'Te6 Pd2'
_symmetry_space_group_name_H-M 'I m m 2'
_symmetry_Int_Tables_number 44
_cell_length_a 3.8571
_cell_length_b 11.5554
_cell_length_c 5.1102
_cell_angle_alpha 90.00
_cell_angle_beta 90.00
_cell_angle_gamma 90.00
loop_
_symmetry_equiv_pos_as_xyz
'x,y,z'
'-x,-y,z'
'-x,y,z'
'x,-y,z'
'x+1/2,y+1/2,z+1/2'
'-x+1/2,-y+1/2,z+1/2'
'-x+1/2,y+1/2,z+1/2'
'x+1/2,-y+1/2,z+1/2'
loop_
_atom_site_label
_atom_site_fract_x
_atom_site_fract_y
_atom_site_fract_z
Te1 0.0000 0.0000 0.0000
Te2 0.0000 0.1619 0.5007
Pd1 0.0000 0.5000 0.0963
```

Largest 10 diffraction maxima, by intensity, 2θ = 10–90°:
2.717 Å, rel. 100; 2.107 Å, rel. 61; 3.076 Å, rel. 56; 1.927 Å, rel. 38; 2.555 Å, rel. 35; 1.539 Å, rel. 28; 2.726 Å, rel. 25; 2.095 Å, rel. 25; 4.674 Å, rel. 24; 5.778 Å, rel. 22

***

11.
Diffraction record for Te3Pd10. The X-ray powder pattern is calculated, not measured: it uses the PBE geometry in Alexandria and Cu Kα X-rays.

Structural model:
Lattice parameters (Å, degrees): 12.6351 12.6351 12.6351 90.00 90.00 90.00
Space group Fd-3m (No. 227, origin choice 2)
Symmetry-distinct sites (fractional):
Te 0.0000 0.0000 0.0000 (multiplicity 16)
Te 0.1250 0.1250 0.6250 (multiplicity 8)
Pd 0.0091 0.0091 0.7409 (multiplicity 32)
Pd 0.1169 0.3750 0.3750 (multiplicity 48)

Largest 10 diffraction maxima, by intensity, 2θ = 10–90°:
2.234 Å, rel. 100; 1.290 Å, rel. 30; 3.810 Å, rel. 23; 1.579 Å, rel. 16; 1.645 Å, rel. 11; 1.117 Å, rel. 9; 2.432 Å, rel. 7; 3.647 Å, rel. 4; 1.221 Å, rel. 4; 1.927 Å, rel. 3

***

12.
Diffraction record for Te5Pd21. The X-ray powder pattern is calculated, not measured: it uses the PBE geometry in Alexandria and Cu Kα X-rays.

Structural model:
```
data_Te5Pd21
_chemical_formula_sum 'Te20 Pd84'
_symmetry_space_group_name_H-M 'F -4 3 m'
_symmetry_Int_Tables_number 216
_symmetry_space_group_name_Hall 'F -4 2 3'
_cell_length_a 12.5655
_cell_length_b 12.5655
_cell_length_c 12.5655
_cell_angle_alpha 90.00
_cell_angle_beta 90.00
_cell_angle_gamma 90.00
loop_
_atom_site_label
_atom_site_fract_x
_atom_site_fract_y
_atom_site_fract_z
Te1 0.0000 0.0000 0.0000
Te2 0.1244 0.1244 0.3756
Pd1 0.0000 0.0000 0.2544
Pd2 0.0021 0.2500 0.2500
Pd3 0.1178 0.1178 0.1178
Pd4 0.1293 0.1293 0.6293
Pd5 0.2500 0.2500 0.7500
```

Largest 10 diffraction maxima, by intensity, 2θ = 10–90°:
2.221 Å, rel. 100; 1.282 Å, rel. 32; 3.789 Å, rel. 20; 1.571 Å, rel. 16; 1.111 Å, rel. 10; 1.636 Å, rel. 7; 2.418 Å, rel. 6; 3.627 Å, rel. 4; 4.443 Å, rel. 3; 1.916 Å, rel. 3